(1)
This entry pairs a crystal structure of Li2MnF4 with its computed PXRD pattern. Radiation: Cu Kα, 1.54184 Å. Structure: a crystal structure in the Materials Project, relaxed with GGA+U.

Main lines, low angle first (5° ≤ 2θ ≤ 70°):
(0 1 2), d 4.526, 2θ 19.6, I = 100
(0 2 0), d 4.363, 2θ 20.4, I = 43
(2 1 -2), d 2.893, 2θ 30.9, I = 31
(2 2 0), d 2.783, 2θ 32.2, I = 26
(2 1 2), d 2.759, 2θ 32.4, I = 16
(2 2 2), d 2.422, 2θ 37.1, I = 16
(1 3 2), d 2.383, 2θ 37.7, I = 16
(0 2 4), d 2.264, 2θ 39.8, I = 15
(2 3 -2), d 2.110, 2θ 42.9, I = 14
(2 2 4), d 1.877, 2θ 48.5, I = 15
(2 4 0), d 1.867, 2θ 48.8, I = 11
(0 3 6), d 1.509, 2θ 61.5, I = 17

Structural model:
Cell lengths 7.239, 8.725, 10.604 Å; angles 90.00, 93.26, 90.00 degrees
Space group P2_1/c (No. 14)
One atom of each set of equivalent atoms:
Li 0.176 0.056 0.143 x4
Li 0.254 0.560 0.368 x4
Li 0.271 0.112 0.625 x4
Li 0.290 0.587 0.889 x4
Mn 0.004 0.732 0.125 x4
Mn 0.461 0.742 0.134 x4
F 0.041 0.048 0.809 x4
F 0.111 0.234 0.057 x4
F 0.193 0.577 0.055 x4
F 0.247 0.745 0.269 x4
F 0.253 0.123 0.314 x4
F 0.268 0.599 0.542 x4
F 0.417 0.066 0.781 x4
F 0.482 0.166 0.540 x4



(2)
This entry pairs a crystal structure of K4LiMn4O8 with its computed PXRD pattern. Radiation: Cu Kα, 1.54184 Å. Structure: a crystal structure in the Materials Project, relaxed with GGA+U.

Main lines, low angle first (5° ≤ 2θ ≤ 70°):
(0 0 2), d 6.635, 2θ 13.3, I = 25
(1 0 -1), d 6.001, 2θ 14.8, I = 71
(1 0 1), d 5.539, 2θ 16.0, I = 47
(0 0 4), d 3.317, 2θ 26.9, I = 100
(2 0 0), d 3.194, 2θ 27.9, I = 81
(0 1 2), d 2.747, 2θ 32.6, I = 88
(2 0 -4), d 2.428, 2θ 37.0, I = 36
(2 0 4), d 2.191, 2θ 41.2, I = 37
(2 1 -2), d 2.128, 2θ 42.5, I = 73
(2 1 2), d 2.040, 2θ 44.4, I = 72
(0 1 6), d 1.784, 2θ 51.2, I = 29
(0 2 0), d 1.509, 2θ 61.5, I = 20

Structural model:
Cell lengths 6.422, 3.018, 13.339 Å; angles 90.00, 95.87, 90.00 degrees
Space group Pm (No. 6)
One atom of each set of equivalent atoms:
K 0.000 0.000 0.000 x1
K 0.019 0.500 0.254 x1
K 0.435 0.000 0.513 x1
K 0.465 0.500 0.794 x1
Li 0.782 0.500 0.412 x1
Mn 0.494 0.000 0.051 x1
Mn 0.513 0.500 0.248 x1
Mn 0.953 0.500 0.743 x1
Mn 0.964 0.000 0.548 x1
O 0.086 0.500 0.473 x1
O 0.131 0.000 0.698 x1
O 0.322 0.000 0.187 x1
O 0.348 0.500 0.979 x1
O 0.670 0.000 0.341 x1
O 0.683 0.500 0.104 x1
O 0.775 0.500 0.584 x1
O 0.818 0.000 0.807 x1



(3)
This entry pairs a crystal structure of Mn2Co3Te3O16 with its computed PXRD pattern. Radiation: Cu Kα, 1.54184 Å. Structure: a crystal structure in the Materials Project, relaxed with GGA+U.

Main lines, low angle first (5° ≤ 2θ ≤ 70°):
(0 0 2), d 4.650, 2θ 19.1, I = 100
(0 1 1), d 4.544, 2θ 19.5, I = 43
(1 1 1), d 4.514, 2θ 19.7, I = 47
(0 1 2), d 3.470, 2θ 25.7, I = 17
(-1 1 2), d 2.518, 2θ 35.7, I = 20
(0 2 -1), d 2.508, 2θ 35.8, I = 37
(2 0 1), d 2.504, 2θ 35.9, I = 20
(2 2 -1), d 2.483, 2θ 36.2, I = 22
(2 0 2), d 2.272, 2θ 39.7, I = 17
(2 0 3), d 1.996, 2θ 45.4, I = 23
(2 0 -3), d 1.985, 2θ 45.7, I = 20
(2 -2 0), d 1.506, 2θ 61.6, I = 19

Structural model:
Cell lengths 5.962, 5.978, 9.301 Å; angles 89.93, 89.67, 60.59 degrees
Space group P1 (No. 1)
One atom of each set of equivalent atoms:
Mn 0.000 0.000 0.000 x1
Mn 0.328 0.326 0.464 x1
Co 0.310 0.810 0.262 x1
Co 0.487 0.486 0.766 x1
Co 0.811 0.308 0.262 x1
Te 0.488 0.990 0.761 x1
Te 0.814 0.808 0.261 x1
Te 0.991 0.487 0.761 x1
O 0.127 0.122 0.149 x1
O 0.134 0.680 0.144 x1
O 0.161 0.618 0.646 x1
O 0.172 0.170 0.634 x1
O 0.308 0.308 0.884 x1
O 0.334 0.830 0.870 x1
O 0.488 0.966 0.368 x1
O 0.495 0.493 0.371 x1
O 0.620 0.159 0.646 x1
O 0.645 0.642 0.158 x1
O 0.663 0.663 0.650 x1
O 0.689 0.129 0.141 x1
O 0.820 0.820 0.878 x1
O 0.829 0.336 0.870 x1
O 0.967 0.485 0.369 x1
O 0.980 0.980 0.368 x1



(4)
This entry pairs a crystal structure of Li2Ni3SbO8 with its computed PXRD pattern. Radiation: Cu Kα, 1.54184 Å. Structure: a crystal structure in the Materials Project, relaxed with GGA+U.

Main lines, low angle first (5° ≤ 2θ ≤ 70°):
(0 0 1), d 4.943, 2θ 17.9, I = 7
(1 -1 0), d 4.813, 2θ 18.4, I = 100
(1 -1 2), d 2.562, 2θ 35.0, I = 21
(1 -2 2), d 2.525, 2θ 35.5, I = 33
(2 -2 0), d 2.407, 2θ 37.4, I = 16
(0 2 0), d 2.099, 2θ 43.1, I = 34
(2 -2 2), d 2.096, 2θ 43.2, I = 17
(3 -2 0), d 1.907, 2θ 47.7, I = 12
(2 -3 3), d 1.613, 2θ 57.1, I = 7
(2 0 2), d 1.498, 2θ 61.9, I = 16
(2 2 -2), d 1.470, 2θ 63.3, I = 10
(1 1 -4), d 1.437, 2θ 64.9, I = 7

Structural model:
Cell lengths 5.870, 5.877, 5.993 Å; angles 119.33, 90.03, 119.92 degrees
Space group P-1 (No. 2)
One atom of each set of equivalent atoms:
Li 0.129 0.258 0.386 x2
Ni 0.000 0.500 0.000 x1
Ni 0.500 0.000 0.000 x1
Ni 0.500 0.500 0.000 x1
Sb 0.500 0.000 0.500 x1
O 0.234 0.524 0.246 x2
O 0.271 0.543 0.815 x2
O 0.277 0.044 0.754 x2
O 0.290 0.012 0.246 x2



(5)
This entry pairs a crystal structure of LiHo2Ag2W4O16 with its computed PXRD pattern. Radiation: Cu Kα, 1.54184 Å. Structure: a crystal structure in the Materials Project, relaxed with GGA+U.

Main lines, low angle first (5° ≤ 2θ ≤ 70°):
(1 1 -1), d 6.073, 2θ 14.6, I = 12
(2 2 -1), d 3.747, 2θ 23.7, I = 14
(2 2 0), d 3.255, 2θ 27.4, I = 100
(3 1 -1), d 3.243, 2θ 27.5, I = 21
(2 2 -2), d 3.036, 2θ 29.4, I = 49
(0 0 2), d 2.880, 2θ 31.1, I = 36
(1 3 1), d 2.601, 2θ 34.5, I = 15
(2 4 -2), d 2.184, 2θ 41.3, I = 11
(4 0 0), d 2.032, 2θ 44.6, I = 13
(3 1 1), d 1.981, 2θ 45.8, I = 14
(2 2 2), d 1.764, 2θ 51.8, I = 14
(4 4 -3), d 1.743, 2θ 52.5, I = 14

Structural model:
Cell lengths 10.384, 10.891, 7.360 Å; angles 90.00, 128.50, 90.00 degrees
Space group C2/m (No. 12)
One atom of each set of equivalent atoms:
Li 0.000 0.000 0.000 x2
Ho 0.000 0.289 0.000 x4
Ag 0.189 0.500 0.531 x4
W 0.000 0.161 0.500 x4
W 0.236 0.000 0.975 x4
O 0.013 0.000 0.338 x4
O 0.037 0.500 0.849 x4
O 0.044 0.261 0.347 x8
O 0.169 0.122 0.087 x8
O 0.232 0.130 0.765 x8